Record 1
This entry pairs a crystal structure of BaScBO4 with its computed PXRD pattern. Radiation: Cu Ka. Structure: the GGA-PBE geometry in Alexandria.
Intensities are scaled so that the largest is 100.

Crystal structure
Cell: 4.836 5.286 6.891 Å, 90.00 97.91 90.00°
Space group P2_1/m (No. 11)
One atom of each set of equivalent atoms:
Ba: 0.249 0.250 0.102
Sc: 0.193 0.750 0.471
B: 0.328 0.250 0.672
O: 0.147 0.022 0.700
O: 0.377 0.250 0.466
O: 0.401 0.750 0.199

Principal peaks in the range 10° ≤ 2θ ≤ 80°, sorted by position:
| 2θ/deg | I_rel |
| --- | --- |
| 25.09 | 85.0 |
| 27.11 | 92.0 |
| 29.53 | 100.0 |
| 29.98 | 46.6 |
| 31.20 | 83.6 |
| 33.92 | 63.8 |
| 37.56 | 41.5 |
| 43.30 | 46.5 |

---

Record 2
This entry pairs a crystal structure of Rb4Cl3F with its computed PXRD pattern. Radiation: Cu Ka. Structure: the GGA-PBE geometry in Alexandria.
Intensities are scaled so that the largest is 100.

Crystal structure
Cell: 9.243 12.925 4.536 Å, 90.00 90.00 90.00°
Space group Cmmm (No. 65)
One atom of each set of equivalent atoms:
Rb: 0.000 0.233 0.000
Rb: 0.223 0.000 0.500
Cl: 0.000 0.500 0.000
Cl: 0.250 0.250 0.500
F: 0.000 0.000 0.000

Principal peaks in the range 10° ≤ 2θ ≤ 80°, sorted by position:
| 2θ/deg | I_rel |
| --- | --- |
| 23.67 | 17.8 |
| 23.97 | 19.0 |
| 27.57 | 100.0 |
| 38.98 | 11.1 |
| 39.40 | 45.8 |
| 39.74 | 12.4 |
| 49.07 | 12.2 |
| 64.41 | 16.8 |